Record 1
The following is a simulated powder XRD pattern of Cu2Ag3. It was derived from a cell relaxed with GGA-PBE, using Cu Kα X-rays.
Neutral-atom scattering factors, no anomalous dispersion.

Principal peaks in the range 2θ = 10–90°, in order of rising 2θ:
2θ/deg	I (rel.)
39.1	326
39.4	1000
44.9	457
47.5	171
65.6	80
67.2	105
67.6	114
78.5	72
79.0	71
79.1	75
79.3	77
85.0	63

Structure:
```
10
Lattice="6.8722 0.0000 0.0000 0.0000 2.8448 0.0000 -1.8217 0.0000 7.9939" Properties=species:S:1:pos:R:3 pbc="T T T"
Cu 0.0217 0.0000 2.5392
Cu 0.1923 1.4224 4.6594
Cu 4.8582 1.4224 3.3345
Cu 5.0288 0.0000 5.4547
Ag 0.0000 1.4224 0.0000
Ag 0.4360 0.0000 6.9967
Ag 2.2383 1.4224 1.6051
Ag 2.5253 0.0000 3.9970
Ag 2.8122 1.4224 6.3888
Ag 4.6145 0.0000 0.9972
```

Record 2
The following is a simulated powder XRD pattern of RbPaO3. It was derived from a cell relaxed with GGA-PBE, using Cu Kα X-rays.
Neutral-atom scattering factors, no anomalous dispersion.

Principal peaks in the range 2θ = 10–90°, in order of rising 2θ:
2θ/deg	I (rel.)
20.1	322
28.6	1000
35.2	36
40.9	287
46.0	157
50.6	429
59.2	187
63.2	77
67.0	190
74.4	63
78.0	33
81.6	226

Structure:
```
10
Lattice="3.1213 1.8021 5.1001 -3.1213 1.8021 5.1001 0.0000 -3.6041 5.1001" Properties=species:S:1:pos:R:3 pbc="T T T"
Rb 0.0000 0.0000 3.8250
Rb 0.0000 0.0000 11.4751
Pa 0.0000 0.0000 0.0000
Pa 0.0000 0.0000 7.6501
O -1.6030 0.8277 6.3751
O -1.5183 -0.9744 8.9251
O 0.0847 -1.8021 6.3751
O -0.0847 1.8021 8.9251
O 1.5183 0.9744 6.3751
O 1.6030 -0.8277 8.9251
```